# 1
Starting from a cell relaxed with PBE, the XRD peak list of Cr2Ni13 was calculated for a wavelength of 1.5418 Å.
No peak broadening, texture or thermal motion is included.

Structure:
```
data_Cr2Ni13
_cell_length_a 4.3141
_cell_length_b 6.0945
_cell_length_c 6.5768
_cell_angle_alpha 71.94
_cell_angle_beta 83.70
_cell_angle_gamma 89.70
_symmetry_space_group_name_H-M 'P -1'
_symmetry_Int_Tables_number 2
_symmetry_space_group_name_Hall '-P 1'
loop_
_atom_site_label
_atom_site_fract_x
_atom_site_fract_y
_atom_site_fract_z
Cr1 0.1342 0.2684 0.2030
Ni1 0.0000 0.0000 0.0000
Ni2 0.0672 0.1317 0.6007
Ni3 0.1974 0.4005 0.8019
Ni4 0.2665 0.5331 0.3975
Ni5 0.3311 0.6659 0.9984
Ni6 0.3987 0.7992 0.6013
Ni7 0.4612 0.9362 0.1996
```

Largest 6 diffraction maxima, low angle first, 2θ = 10–90°:
| Position (°2θ) | d (Å) | I (rel.) | h k l |
| --- | --- | --- | --- |
| 44.61 | 2.031 | 100.0 | 1 1 3 |
| 51.80 | 1.765 | 15.6 | 2 2 1 |
| 52.07 | 1.756 | 30.6 | 1 -2 2 |
| 76.50 | 1.245 | 13.3 | 3 0 -2 |
| 76.60 | 1.244 | 4.4 | 3 0 3 |
| 76.74 | 1.242 | 8.8 | 0 0 5 |

# 2
Starting from a cell relaxed with PBE, the XRD peak list of Cr5Ni was calculated for a wavelength of 1.5418 Å.
No peak broadening, texture or thermal motion is included.

Structure:
```
data_Cr5Ni
_cell_length_a 4.1713
_cell_length_b 2.3488
_cell_length_c 14.1987
_cell_angle_alpha 90.00
_cell_angle_beta 90.00
_cell_angle_gamma 90.00
_symmetry_space_group_name_H-M 'A m m 2'
_symmetry_Int_Tables_number 38
_symmetry_space_group_name_Hall 'A 2 -2'
loop_
_atom_site_label
_atom_site_fract_x
_atom_site_fract_y
_atom_site_fract_z
Cr1 0.0000 0.0000 0.0000
Cr2 0.0000 0.0000 0.3274
Cr3 0.5000 0.0000 0.2342
Cr4 0.5000 0.0000 0.5715
Cr5 0.5000 0.0000 0.9039
Ni1 0.0000 0.0000 0.6680
```

Largest 6 diffraction maxima, low angle first, 2θ = 10–90°:
| Position (°2θ) | d (Å) | I (rel.) | h k l |
| --- | --- | --- | --- |
| 42.99 | 2.104 | 44.2 | 0 1 3 |
| 43.39 | 2.086 | 55.6 | 2 0 0 |
| 43.99 | 2.058 | 100.0 | 1 0 6 |
| 48.46 | 1.879 | 95.4 | 1 1 3 |
| 62.73 | 1.481 | 25.5 | 2 1 3 |
| 88.07 | 1.109 | 19.0 | 2 1 9 |

# 3
Starting from a cell relaxed with PBE, the XRD peak list of Cr5Ni4 was calculated for a wavelength of 1.5418 Å.
No peak broadening, texture or thermal motion is included.

Structure:
```
data_Cr5Ni4
_cell_length_a 7.6596
_cell_length_b 7.6596
_cell_length_c 3.4409
_cell_angle_alpha 90.00
_cell_angle_beta 90.00
_cell_angle_gamma 90.00
_symmetry_space_group_name_H-M 'I 4/m m m'
_symmetry_Int_Tables_number 139
_symmetry_space_group_name_Hall '-I 4 2'
loop_
_atom_site_label
_atom_site_fract_x
_atom_site_fract_y
_atom_site_fract_z
Cr1 0.0000 0.0000 0.0000
Cr2 0.1720 0.1720 0.5000
Ni1 0.0000 0.3352 0.0000
```

Largest 6 diffraction maxima, low angle first, 2θ = 10–90°:
| Position (°2θ) | d (Å) | I (rel.) | h k l |
| --- | --- | --- | --- |
| 16.37 | 5.416 | 2.0 | 1 1 0 |
| 44.17 | 2.050 | 100.0 | 3 0 1 |
| 50.56 | 1.805 | 32.3 | 3 3 0 |
| 53.24 | 1.720 | 13.8 | 0 0 2 |
| 74.30 | 1.277 | 9.1 | 6 0 0 |
| 76.48 | 1.245 | 16.7 | 3 3 2 |

# 4
Starting from a cell relaxed with PBE, the XRD peak list of CrNi2 was calculated for a wavelength of 1.5418 Å.
No peak broadening, texture or thermal motion is included.

Structure:
```
data_CrNi2
_cell_length_a 9.3208
_cell_length_b 2.4599
_cell_length_c 5.9757
_cell_angle_alpha 90.00
_cell_angle_beta 105.01
_cell_angle_gamma 90.00
_symmetry_space_group_name_H-M 'C 1 m 1'
_symmetry_Int_Tables_number 8
_symmetry_space_group_name_Hall 'C -2y'
loop_
_atom_site_label
_atom_site_fract_x
_atom_site_fract_y
_atom_site_fract_z
Cr1 0.0000 0.0000 0.0000
Cr2 0.1692 0.5000 0.3318
Ni1 0.0587 0.0000 0.6129
Ni2 0.2247 0.5000 0.9498
Ni3 0.3345 0.0000 0.6682
Ni4 0.3936 0.0000 0.2823
```

Largest 6 diffraction maxima, low angle first, 2θ = 10–90°:
| Position (°2θ) | d (Å) | I (rel.) | h k l |
| --- | --- | --- | --- |
| 42.15 | 2.144 | 54.4 | 1 1 1 |
| 44.16 | 2.051 | 87.4 | 4 0 -2 |
| 46.98 | 1.934 | 56.5 | 4 0 1 |
| 47.24 | 1.924 | 55.2 | 0 0 3 |
| 47.81 | 1.902 | 100.0 | 3 1 0 |
| 47.94 | 1.898 | 99.5 | 1 1 -2 |

# 5
Starting from a cell relaxed with PBE, the XRD peak list of Cr3Ni was calculated for a wavelength of 1.5418 Å.
No peak broadening, texture or thermal motion is included.

Structure:
```
data_Cr3Ni
_cell_length_a 2.3672
_cell_length_b 4.1775
_cell_length_c 4.6423
_cell_angle_alpha 90.00
_cell_angle_beta 90.00
_cell_angle_gamma 90.00
_symmetry_space_group_name_H-M 'P m m 2'
_symmetry_Int_Tables_number 25
_symmetry_space_group_name_Hall 'P 2 -2'
loop_
_atom_site_label
_atom_site_fract_x
_atom_site_fract_y
_atom_site_fract_z
Cr1 0.0000 0.0000 0.0000
Cr2 0.0000 0.5000 0.2932
Cr3 0.5000 0.0000 0.5028
Ni1 0.5000 0.5000 0.8076
```

Largest 6 diffraction maxima, low angle first, 2θ = 10–90°:
| Position (°2θ) | d (Å) | I (rel.) | h k l |
| --- | --- | --- | --- |
| 42.88 | 2.109 | 39.0 | 1 0 1 |
| 43.32 | 2.089 | 54.3 | 0 2 0 |
| 44.66 | 2.029 | 88.9 | 0 1 2 |
| 48.35 | 1.883 | 100.0 | 1 1 1 |
| 62.59 | 1.484 | 22.5 | 1 2 1 |
| 88.91 | 1.101 | 20.3 | 1 2 3 |

# 6
Starting from a cell relaxed with PBE, the XRD peak list of Cr4Ni5 was calculated for a wavelength of 1.5418 Å.
No peak broadening, texture or thermal motion is included.

Structure:
```
data_Cr4Ni5
_cell_length_a 6.9667
_cell_length_b 6.9667
_cell_length_c 4.9456
_cell_angle_alpha 90.00
_cell_angle_beta 90.00
_cell_angle_gamma 120.00
_symmetry_space_group_name_H-M 'P 63/m c m'
_symmetry_Int_Tables_number 193
_symmetry_space_group_name_Hall '-P 6c 2'
loop_
_atom_site_label
_atom_site_fract_x
_atom_site_fract_y
_atom_site_fract_z
Cr1 0.0000 0.0000 0.0000
Cr2 0.0000 0.3209 0.2500
Ni1 0.0000 0.3421 0.7500
Ni2 0.3333 0.6667 0.0000
```

Largest 6 diffraction maxima, low angle first, 2θ = 10–90°:
| Position (°2θ) | d (Å) | I (rel.) | h k l |
| --- | --- | --- | --- |
| 36.33 | 2.473 | 6.6 | 0 0 2 |
| 44.96 | 2.016 | 91.9 | 1 1 2 |
| 45.08 | 2.011 | 100.0 | 3 0 0 |
| 59.22 | 1.560 | 8.0 | 3 0 2 |
| 65.56 | 1.424 | 26.5 | 2 2 2 |
| 83.15 | 1.162 | 39.1 | 3 3 0 |

# 7
Starting from a cell relaxed with PBE, the XRD peak list of Cr4Ni5 was calculated for a wavelength of 1.5418 Å.
No peak broadening, texture or thermal motion is included.

Structure:
```
data_Cr4Ni5
_cell_length_a 7.8184
_cell_length_b 7.8184
_cell_length_c 3.2794
_cell_angle_alpha 90.00
_cell_angle_beta 90.00
_cell_angle_gamma 90.00
_symmetry_space_group_name_H-M 'I 4/m m m'
_symmetry_Int_Tables_number 139
_symmetry_space_group_name_Hall '-I 4 2'
loop_
_atom_site_label
_atom_site_fract_x
_atom_site_fract_y
_atom_site_fract_z
Cr1 0.0000 0.3354 0.0000
Ni1 0.0000 0.0000 0.0000
Ni2 0.1665 0.1665 0.5000
```

Largest 6 diffraction maxima, low angle first, 2θ = 10–90°:
| Position (°2θ) | d (Å) | I (rel.) | h k l |
| --- | --- | --- | --- |
| 44.40 | 2.040 | 100.0 | 3 0 1 |
| 49.46 | 1.843 | 35.5 | 3 3 0 |
| 56.09 | 1.640 | 11.9 | 0 0 2 |
| 72.54 | 1.303 | 10.1 | 6 0 0 |
| 78.00 | 1.225 | 16.2 | 3 3 2 |
| 89.17 | 1.098 | 23.0 | 6 3 1 |

# 8
Starting from a cell relaxed with PBE, the XRD peak list of CrNi2 was calculated for a wavelength of 1.5418 Å.
No peak broadening, texture or thermal motion is included.

Structure:
```
data_CrNi2
_cell_length_a 5.0676
_cell_length_b 3.4323
_cell_length_c 7.6016
_cell_angle_alpha 90.00
_cell_angle_beta 90.00
_cell_angle_gamma 90.00
_symmetry_space_group_name_H-M 'P n m a'
_symmetry_Int_Tables_number 62
_symmetry_space_group_name_Hall '-P 2ac 2n'
loop_
_atom_site_label
_atom_site_fract_x
_atom_site_fract_y
_atom_site_fract_z
Cr1 0.1155 0.2500 0.0760
Ni1 0.1207 0.2500 0.4149
Ni2 0.1348 0.2500 0.7497
```

Largest 5 diffraction maxima, low angle first, 2θ = 10–90°:
| Position (°2θ) | d (Å) | I (rel.) | h k l |
| --- | --- | --- | --- |
| 44.44 | 2.039 | 100.0 | 0 1 3 |
| 50.97 | 1.792 | 32.1 | 2 0 3 |
| 53.39 | 1.716 | 14.0 | 0 2 0 |
| 74.96 | 1.267 | 9.0 | 0 0 6 |
| 76.93 | 1.239 | 16.9 | 2 2 3 |